[1]
Diffraction record for Rb2PdBr3Cl. The powder diffraction line list is calculated, not measured: it uses a cell relaxed with GGA-PBE and Cu Kα (weighted mean of Kα1 and Kα2).
Peak positions follow from Bragg's law for the DFT cell and can differ from measured ones.

Largest 10 diffraction maxima, low angle first, 10° ≤ 2θ ≤ 90°:
d/Å  I (rel.)
7.607  100
3.916  47
3.501  80
3.462  40
2.923  100
2.726  53
2.655  50
2.284  35
2.115  35
1.902  35

Structural model:
Lattice parameters (Å, degrees): 4.568 7.610 7.610 88.48 90.00 90.00
Fractional positions:
Rb (0.000, 0.241, 0.759)
Rb (0.000, 0.759, 0.241)
Pd (0.500, 0.751, 0.751)
Br (0.500, 0.518, 0.983)
Br (0.500, 0.525, 0.525)
Br (0.500, 0.983, 0.518)
Cl (0.500, 0.967, 0.967)

=====

[2]
Diffraction record for PrSiHO4. The powder diffraction line list is calculated, not measured: it uses a cell relaxed with GGA-PBE and Cu Kα (weighted mean of Kα1 and Kα2).
Peak positions follow from Bragg's law for the DFT cell and can differ from measured ones.

Largest 10 diffraction maxima, low angle first, 10° ≤ 2θ ≤ 90°:
d/Å  I (rel.)
6.903  77
4.872  48
4.312  23
3.368  37
3.084  34
3.064  100
3.023  28
2.772  46
2.692  25
2.118  20

Structural model:
Lattice parameters (Å, degrees): 7.113 6.878 6.942 90.00 103.97 90.00
Fractional positions:
Pr (0.143, 0.145, 0.180)
Pr (0.143, 0.355, 0.680)
Pr (0.857, 0.645, 0.320)
Pr (0.857, 0.855, 0.820)
Si (0.268, 0.595, 0.194)
Si (0.268, 0.905, 0.694)
Si (0.732, 0.095, 0.306)
Si (0.732, 0.405, 0.806)
H (0.487, 0.213, 0.620)
H (0.487, 0.287, 0.120)
H (0.513, 0.713, 0.880)
H (0.513, 0.787, 0.380)
O (0.115, 0.727, 0.636)
O (0.115, 0.773, 0.136)
O (0.190, 0.038, 0.855)
O (0.190, 0.462, 0.355)
O (0.275, 0.054, 0.514)
O (0.275, 0.446, 0.014)
O (0.492, 0.678, 0.283)
O (0.492, 0.822, 0.783)
O (0.508, 0.178, 0.217)
O (0.508, 0.322, 0.717)
O (0.725, 0.554, 0.986)
O (0.725, 0.946, 0.486)
O (0.810, 0.538, 0.645)
O (0.810, 0.962, 0.145)
O (0.885, 0.227, 0.864)
O (0.885, 0.273, 0.364)

=====

[3]
Diffraction record for PrCo2SiGe. The powder diffraction line list is calculated, not measured: it uses a cell relaxed with GGA-PBE and Cu Kα (weighted mean of Kα1 and Kα2).
Peak positions follow from Bragg's law for the DFT cell and can differ from measured ones.

Largest 10 diffraction maxima, low angle first, 10° ≤ 2θ ≤ 90°:
d/Å  I (rel.)
3.726  26
2.590  86
2.475  100
2.002  53
1.816  23
1.584  38
1.456  23
1.415  16
1.345  17
1.229  20

Structural model:
Lattice parameters (Å, degrees): 5.828 5.828 5.828 139.82 139.82 58.12
Fractional positions:
Pr (0.000, 0.000, 0.000)
Co (0.256, 0.756, 0.500)
Co (0.756, 0.256, 0.500)
Si (0.363, 0.363, 0.000)
Ge (0.631, 0.631, 0.000)

=====

[4]
Diffraction record for TaTlP2O8. The powder diffraction line list is calculated, not measured: it uses a cell relaxed with GGA-PBE and Cu Kα (weighted mean of Kα1 and Kα2).
Peak positions follow from Bragg's law for the DFT cell and can differ from measured ones.

Largest 10 diffraction maxima, low angle first, 10° ≤ 2θ ≤ 90°:
d/Å  I (rel.)
4.508  100
3.689  16
2.855  87
2.603  43
2.127  31
1.923  33
1.704  16
1.547  28
1.505  17
1.251  16

Structural model:
Lattice parameters (Å, degrees): 5.205 5.205 7.378 90.00 90.00 120.00
Fractional positions:
Ta (0.000, 0.000, 0.000)
Tl (0.000, 0.000, 0.500)
P (0.333, 0.667, 0.242)
P (0.667, 0.333, 0.758)
O (0.171, 0.821, 0.157)
O (0.179, 0.350, 0.157)
O (0.333, 0.667, 0.444)
O (0.350, 0.179, 0.843)
O (0.650, 0.829, 0.157)
O (0.667, 0.333, 0.556)
O (0.821, 0.171, 0.843)
O (0.829, 0.650, 0.843)

=====

[5]
Diffraction record for Zr4PbSN2. The powder diffraction line list is calculated, not measured: it uses a cell relaxed with GGA-PBE and Cu Kα (weighted mean of Kα1 and Kα2).
Peak positions follow from Bragg's law for the DFT cell and can differ from measured ones.

Largest 10 diffraction maxima, low angle first, 10° ≤ 2θ ≤ 90°:
d/Å  I (rel.)
2.933  33
2.685  32
2.670  14
2.449  100
1.974  15
1.693  26
1.450  16
1.430  12
1.393  17
1.347  12

Structural model:
Lattice parameters (Å, degrees): 3.386 3.386 13.350 90.00 90.00 120.00
Fractional positions:
Zr (0.000, 0.000, 0.136)
Zr (0.000, 0.000, 0.864)
Zr (0.333, 0.667, 0.315)
Zr (0.333, 0.667, 0.685)
Pb (0.000, 0.000, 0.500)
S (0.333, 0.667, 0.000)
N (0.667, 0.333, 0.228)
N (0.667, 0.333, 0.772)

=====

[6]
Diffraction record for Pr2NdAl7Au2. The powder diffraction line list is calculated, not measured: it uses a cell relaxed with GGA-PBE and Cu Kα (weighted mean of Kα1 and Kα2).
Peak positions follow from Bragg's law for the DFT cell and can differ from measured ones.

Largest 10 diffraction maxima, low angle first, 10° ≤ 2θ ≤ 90°:
d/Å  I (rel.)
4.437  41
3.959  23
2.843  82
2.708  15
2.394  100
2.050  22
1.642  16
1.540  26
1.505  22
1.422  16

Structural model:
Lattice parameters (Å, degrees): 9.461 9.461 9.461 34.98 34.98 34.98
Fractional positions:
Pr (0.142, 0.142, 0.142)
Pr (0.858, 0.858, 0.858)
Nd (0.000, 0.000, 0.000)
Al (0.072, 0.586, 0.586)
Al (0.414, 0.414, 0.928)
Al (0.414, 0.928, 0.414)
Al (0.500, 0.500, 0.500)
Al (0.586, 0.072, 0.586)
Al (0.586, 0.586, 0.072)
Al (0.928, 0.414, 0.414)
Au (0.337, 0.337, 0.337)
Au (0.663, 0.663, 0.663)

=====

[7]
Diffraction record for LaNd2Sn5Pb2. The powder diffraction line list is calculated, not measured: it uses a cell relaxed with GGA-PBE and Cu Kα (weighted mean of Kα1 and Kα2).
Peak positions follow from Bragg's law for the DFT cell and can differ from measured ones.

Largest 10 diffraction maxima, low angle first, 10° ≤ 2θ ≤ 90°:
d/Å  I (rel.)
2.796  100
2.589  18
2.390  17
2.310  16
1.756  11
1.724  11
1.661  11
1.532  13
1.446  14
1.411  13

Structural model:
Lattice parameters (Å, degrees): 13.152 13.152 4.780 90.00 90.00 159.76
Fractional positions:
La (0.000, 0.000, 0.000)
Nd (0.188, 0.812, 0.000)
Nd (0.812, 0.188, 0.000)
Sn (0.290, 0.710, 0.500)
Sn (0.404, 0.596, 0.000)
Sn (0.500, 0.500, 0.500)
Sn (0.596, 0.404, 0.000)
Sn (0.710, 0.290, 0.500)
Pb (0.098, 0.902, 0.500)
Pb (0.902, 0.098, 0.500)